# 1
Structure and theoretical X-ray diffraction stick pattern of La2CuO4 (DFT lattice parameters and positions (PBE); CuKα).
Peak positions follow from Bragg's law for the DFT cell and can differ from measured ones.

Structural model:
abc: 7.1412 7.1412 7.1412
angles: 149.03 149.03 44.37
Fractional positions:
La 0.1391 0.1391 0.0000
La 0.8609 0.8609 0.0000
Cu 0.5000 0.5000 0.0000
O 0.0000 0.5000 0.5000
O 0.3138 0.3138 0.0000
O 0.5000 0.0000 0.5000
O 0.6862 0.6862 0.0000

Main lines, low angle first (2θ = 10–90°):
- 2θ 24.29, rel. 21
- 2θ 31.01, rel. 100
- 2θ 33.22, rel. 65
- 2θ 41.55, rel. 21
- 2θ 43.30, rel. 25
- 2θ 47.69, rel. 32
- 2θ 54.19, rel. 17
- 2θ 55.62, rel. 11
- 2θ 57.98, rel. 35
- 2θ 84.51, rel. 12



# 2
Structure and theoretical X-ray diffraction stick pattern of La12Cu10O31 (DFT lattice parameters and positions (PBE); CuKα).
Peak positions follow from Bragg's law for the DFT cell and can differ from measured ones.

Structural model:
abc: 6.7077 6.7077 20.6841
angles: 90.06 90.06 120.35
Fractional positions:
La 0.0003 0.0003 0.1290
La 0.9997 0.9997 0.8710
La 0.0000 0.9861 0.6137
La 0.0139 0.0000 0.3863
La 0.3290 0.6651 0.3826
La 0.3331 0.6659 0.8703
La 0.3341 0.6669 0.1297
La 0.3349 0.6710 0.6175
La 0.6498 0.3332 0.6175
La 0.6672 0.3331 0.1290
La 0.6669 0.3328 0.8710
La 0.6669 0.3502 0.3825
Cu 0.3300 0.1593 0.7444
Cu 0.3330 0.1664 0.0000
Cu 0.3347 0.1705 0.2559
Cu 0.8293 0.1601 0.2564
Cu 0.8295 0.6653 0.7441
Cu 0.8336 0.1664 0.0000
Cu 0.8336 0.6670 0.0000
Cu 0.8388 0.1612 0.5000
Cu 0.8399 0.1707 0.7436
Cu 0.8407 0.6700 0.2556
O 0.0004 0.3327 0.0767
O 0.0002 0.6671 0.6723
O 0.0024 0.0012 0.2542
O 0.0020 0.6689 0.9239
O 0.0042 0.3377 0.8198
O 0.0050 0.6676 0.1800
O 0.0061 0.6484 0.4258
O 0.3236 0.3254 0.6728
O 0.3311 0.9980 0.0761
O 0.3324 0.9950 0.8200
O 0.3329 0.9998 0.3277
O 0.3345 0.3345 0.9238
O 0.3373 0.3386 0.1803
O 0.3428 0.3572 0.4221
O 0.3516 0.9939 0.5742
O 0.6428 0.6572 0.5779
O 0.6605 0.0134 0.4318
O 0.6614 0.6627 0.8197
O 0.6623 0.9958 0.1802
O 0.6660 0.3307 0.7440
O 0.6655 0.6655 0.0762
O 0.6673 0.9996 0.9233
O 0.6678 0.3322 0.0000
O 0.6693 0.3340 0.2560
O 0.6746 0.6764 0.3272
O 0.6761 0.0047 0.6716
O 0.9866 0.3395 0.5682
O 0.9925 0.0075 0.5000
O 0.9953 0.3239 0.3284
O 0.9991 0.0009 0.0000
O 0.9988 0.9976 0.7458

Main lines, low angle first (2θ = 10–90°):
- 2θ 17.15, rel. 32
- 2θ 26.58, rel. 42
- 2θ 26.72, rel. 26
- 2θ 31.80, rel. 100
- 2θ 31.93, rel. 43
- 2θ 34.70, rel. 26
- 2θ 44.24, rel. 39
- 2θ 47.10, rel. 20
- 2θ 50.48, rel. 32
- 2θ 66.46, rel. 22